[1]
Diffraction record for U2Nb3Si4. The powder diffraction line list is theoretical, not measured: it uses the GGA-PBE geometry in the Materials Project and Cu Kα (weighted mean of Kα1 and Kα2).

Atomic structure:
Unit cell a=7.0541 b=7.0541 c=12.9967 alpha=90.00 beta=90.00 gamma=90.00
Sites, in units of the cell vectors:
U: 0.0046 0.3335 0.0312
U: 0.1665 0.5046 0.2812
U: 0.3335 0.0046 0.9688
U: 0.4954 0.8335 0.2188
U: 0.5046 0.1665 0.7188
U: 0.6665 0.9954 0.4688
U: 0.8335 0.4954 0.7812
U: 0.9954 0.6665 0.5312
Nb: 0.0012 0.1566 0.6252
Nb: 0.1566 0.0012 0.3748
Nb: 0.1683 0.8317 0.7500
Nb: 0.3317 0.3317 0.5000
Nb: 0.3434 0.5012 0.8752
Nb: 0.4988 0.6566 0.6248
Nb: 0.5012 0.3434 0.1248
Nb: 0.6566 0.4988 0.3752
Nb: 0.6683 0.6683 0.0000
Nb: 0.8317 0.1683 0.2500
Nb: 0.8434 0.9988 0.8748
Nb: 0.9988 0.8434 0.1252
Si: 0.0405 0.7047 0.9354
Si: 0.1292 0.2072 0.8170
Si: 0.2047 0.4595 0.6854
Si: 0.2072 0.1292 0.1830
Si: 0.2928 0.6292 0.0670
Si: 0.2953 0.9595 0.5646
Si: 0.3708 0.7072 0.4330
Si: 0.4595 0.2047 0.3146
Si: 0.5405 0.7953 0.8146
Si: 0.6292 0.2928 0.9330
Si: 0.7047 0.0405 0.0646
Si: 0.7072 0.3708 0.5670
Si: 0.7928 0.8708 0.6830
Si: 0.7953 0.5405 0.1854
Si: 0.8708 0.7928 0.3170
Si: 0.9595 0.2953 0.4354

Main lines, most intense first (10° ≤ 2θ ≤ 80°):
2θ (°)	Rel. int.
35.19	100
40.81	92
39.08	76
36.69	74
31.52	43
29.13	40
59.48	38
19.06	33
28.80	31
32.90	30
30.29	29
62.78	29

[2]
Diffraction record for BaZrF6. The powder diffraction line list is theoretical, not measured: it uses the GGA-PBE geometry in the Materials Project and Cu Kα (weighted mean of Kα1 and Kα2).

Atomic structure:
Unit cell a=6.9583 b=6.9583 c=5.6135 alpha=90.00 beta=90.00 gamma=112.00
Sites, in units of the cell vectors:
Ba: 0.2500 0.7500 0.9444
Ba: 0.7500 0.2500 0.0556
Zr: 0.2500 0.2500 0.5000
Zr: 0.7500 0.7500 0.5000
F: 0.0681 0.3187 0.7505
F: 0.0701 0.9299 0.6499
F: 0.1813 0.4319 0.2495
F: 0.3187 0.0681 0.2495
F: 0.4299 0.5701 0.6499
F: 0.4319 0.1813 0.7505
F: 0.5681 0.8187 0.2495
F: 0.5701 0.4299 0.3501
F: 0.6813 0.9319 0.7505
F: 0.8187 0.5681 0.7505
F: 0.9299 0.0701 0.3501
F: 0.9319 0.6813 0.2495

Main lines, most intense first (10° ≤ 2θ ≤ 80°):
2θ (°)	Rel. int.
22.10	100
27.65	41
27.90	38
42.19	32
42.70	26
45.07	20
52.23	19
53.13	11
41.49	10
71.83	10
39.04	9
46.69	9

[3]
Diffraction record for NbCr3Cu2S8. The powder diffraction line list is theoretical, not measured: it uses the GGA-PBE geometry in the Materials Project and Cu Kα (weighted mean of Kα1 and Kα2).

Atomic structure:
Unit cell a=3.4241 b=12.0455 c=11.4080 alpha=90.00 beta=90.00 gamma=90.00
Sites, in units of the cell vectors:
Nb: 0.0000 0.0363 0.0000
Nb: 0.0000 0.9637 0.5000
Cr: 0.0000 0.3289 0.5343
Cr: 0.0000 0.6711 0.0343
Cr: 0.5000 0.1864 0.7627
Cr: 0.5000 0.4548 0.2937
Cr: 0.5000 0.5452 0.7937
Cr: 0.5000 0.8136 0.2627
Cu: 0.0000 0.1952 0.2718
Cu: 0.0000 0.8048 0.7718
Cu: 0.5000 0.3364 0.0296
Cu: 0.5000 0.6636 0.5296
S: 0.0000 0.1330 0.6211
S: 0.0000 0.2293 0.8970
S: 0.0000 0.3674 0.1749
S: 0.0000 0.4993 0.4311
S: 0.0000 0.5007 0.9311
S: 0.0000 0.6326 0.6749
S: 0.0000 0.7707 0.3970
S: 0.0000 0.8670 0.1211
S: 0.5000 0.0028 0.3499
S: 0.5000 0.1376 0.1146
S: 0.5000 0.2801 0.3975
S: 0.5000 0.3696 0.6759
S: 0.5000 0.6304 0.1759
S: 0.5000 0.7199 0.8975
S: 0.5000 0.8624 0.6146
S: 0.5000 0.9972 0.8499

Main lines, most intense first (10° ≤ 2θ ≤ 80°):
2θ (°)	Rel. int.
27.15	100
36.08	88
38.40	81
53.52	63
33.65	49
33.97	44
46.79	43
53.31	35
50.38	33
53.38	22
78.93	21
40.66	19